This entry pairs a crystal structure of K2V2PbS7 with its theoretical PXRD pattern. Radiation: a wavelength of 1.5418 Å. Structure: a DFT-relaxed cell (GGA-PBE, Alexandria).
Peak positions follow from Bragg's law for the DFT cell and can differ from measured ones.

Peak list (10 most intense, 2θ = 15–90°, sorted by position)
index  2θ (°)  intensity
0 1 2  16.32  94
1 0 4  19.62  36
0 1 5  21.78  100
1 1 0  26.25  67
1 1 6  32.48  43
0 2 4  32.99  21
1 0 10  35.15  30
1 1 9  39.01  36
1 2 5  43.75  25
3 0 0  46.33  34

Crystal structure
```
data_K2V2PbS7
_chemical_formula_sum 'K6 V6 Pb3 S21'
_space_group_name_H-M_alt 'R 3 2'
_space_group_IT_number 155
_space_group_name_Hall 'R 3 2"'
_cell_length_a 6.7890
_cell_length_b 6.7890
_cell_length_c 28.3446
_cell_angle_alpha 90.00
_cell_angle_beta 90.00
_cell_angle_gamma 120.00
loop_
_atom_site_label
_atom_site_type_symbol
_atom_site_fract_x
_atom_site_fract_y
_atom_site_fract_z
K1 K 0.0000 0.0000 0.1991
V1 V 0.0000 0.0000 0.4218
Pb1 Pb 0.0000 0.0000 0.0000
S1 S 0.0000 0.0000 0.5000
S2 S 0.0211 0.3799 0.2670
```